Entry 1:
The following is a simulated XRD peak list of CsTlF4. It was derived from a PBE-relaxed structure, using Cu Ka.
Lines closer than 0.1° are merged.

Largest 8 diffraction maxima, sorted by position, 2θ from 5° to 70°:
two_theta	I_rel
24.46	100
24.60	84
26.68	36
29.23	50
39.97	45
41.63	17
45.82	41
48.95	28

Crystal structure
```
data_CsTlF4
_chemical_formula_sum 'Cs4 Tl4 F16'
_symmetry_space_group_name_H-M 'P 1'
_symmetry_Int_Tables_number 1
_cell_length_a 6.6834
_cell_length_b 8.6072
_cell_length_c 8.6786
_cell_angle_alpha 90.00
_cell_angle_beta 90.00
_cell_angle_gamma 90.00
loop_
_symmetry_equiv_pos_as_xyz
'x,y,z'
loop_
_atom_site_label
_atom_site_type_symbol
_atom_site_fract_x
_atom_site_fract_y
_atom_site_fract_z
Cs1 Cs 0.0118 0.1970 0.2500
Cs2 Cs 0.0118 0.3030 0.7500
Cs3 Cs 0.9882 0.6970 0.2500
Cs4 Cs 0.9882 0.8030 0.7500
Tl1 Tl 0.5000 0.0000 0.0000
Tl2 Tl 0.5000 0.0000 0.5000
Tl3 Tl 0.5000 0.5000 0.0000
Tl4 Tl 0.5000 0.5000 0.5000
F1 F 0.2071 0.5657 0.5566
F2 F 0.2071 0.5657 0.9434
F3 F 0.2071 0.9343 0.0566
F4 F 0.2071 0.9343 0.4434
F5 F 0.3829 0.2500 0.0000
F6 F 0.3829 0.2500 0.5000
F7 F 0.4022 0.5202 0.2500
F8 F 0.4022 0.9798 0.7500
F9 F 0.5978 0.0202 0.2500
F10 F 0.5978 0.4798 0.7500
F11 F 0.6171 0.7500 0.0000
F12 F 0.6171 0.7500 0.5000
F13 F 0.7929 0.0657 0.5566
F14 F 0.7929 0.0657 0.9434
F15 F 0.7929 0.4343 0.0566
F16 F 0.7929 0.4343 0.4434
```

Entry 2:
The following is a simulated XRD peak list of Cs2UTlF8. It was derived from a PBE-relaxed structure, using Cu Ka.
Lines closer than 0.1° are merged.

Largest 8 diffraction maxima, sorted by position, 2θ from 5° to 70°:
two_theta	I_rel
18.59	29
20.39	23
25.04	100
32.50	42
38.69	28
41.46	30
47.46	21
53.64	25

Crystal structure
```
data_Cs2UTlF8
_chemical_formula_sum 'Cs2 U1 Tl1 F8'
_symmetry_space_group_name_H-M 'P 1'
_symmetry_Int_Tables_number 1
_cell_length_a 5.5107
_cell_length_b 5.5107
_cell_length_c 10.6610
_cell_angle_alpha 90.00
_cell_angle_beta 90.00
_cell_angle_gamma 120.00
loop_
_symmetry_equiv_pos_as_xyz
'x,y,z'
loop_
_atom_site_label
_atom_site_type_symbol
_atom_site_fract_x
_atom_site_fract_y
_atom_site_fract_z
Cs1 Cs 0.3333 0.6667 0.2060
Cs2 Cs 0.6667 0.3333 0.7940
U1 U 0.0000 0.0000 0.5000
Tl1 Tl 0.0000 0.0000 0.0000
F1 F 0.1691 0.3382 0.6231
F2 F 0.1691 0.8309 0.6231
F3 F 0.3333 0.6667 0.9401
F4 F 0.3382 0.1691 0.3769
F5 F 0.6618 0.8309 0.6231
F6 F 0.6667 0.3333 0.0599
F7 F 0.8309 0.1691 0.3769
F8 F 0.8309 0.6618 0.3769
```

Entry 3:
The following is a simulated XRD peak list of CsTl2Zn2F7. It was derived from a PBE-relaxed structure, using Cu Ka.
Lines closer than 0.1° are merged.

Largest 8 diffraction maxima, sorted by position, 2θ from 5° to 70°:
two_theta	I_rel
21.44	22
23.85	100
28.51	67
37.50	26
38.76	23
42.86	18
47.77	29
50.49	19

Crystal structure
```
data_CsTl2Zn2F7
_chemical_formula_sum 'Cs1 Tl2 Zn2 F7'
_symmetry_space_group_name_H-M 'P 1'
_symmetry_Int_Tables_number 1
_cell_length_a 9.3007
_cell_length_b 9.3007
_cell_length_c 9.3007
_cell_angle_alpha 39.34
_cell_angle_beta 39.34
_cell_angle_gamma 39.34
loop_
_symmetry_equiv_pos_as_xyz
'x,y,z'
loop_
_atom_site_label
_atom_site_type_symbol
_atom_site_fract_x
_atom_site_fract_y
_atom_site_fract_z
Cs1 Cs 0.0000 0.0000 0.0000
Tl1 Tl 0.2045 0.2045 0.2045
Tl2 Tl 0.7955 0.7955 0.7955
Zn1 Zn 0.4227 0.4227 0.4227
Zn2 Zn 0.5773 0.5773 0.5773
F1 F 0.0886 0.4479 0.6798
F2 F 0.3202 0.5521 0.9114
F3 F 0.4479 0.6798 0.0886
F4 F 0.5000 0.5000 0.5000
F5 F 0.5521 0.9114 0.3202
F6 F 0.6798 0.0886 0.4479
F7 F 0.9114 0.3202 0.5521
```

Entry 4:
The following is a simulated XRD peak list of CsTmF4. It was derived from a PBE-relaxed structure, using Cu Ka.
Lines closer than 0.1° are merged.

Largest 8 diffraction maxima, sorted by position, 2θ from 5° to 70°:
two_theta	I_rel
24.67	100
24.79	29
30.29	37
39.53	21
43.37	18
43.59	29
50.55	48
63.17	21

Crystal structure
```
data_CsTmF4
_chemical_formula_sum 'Cs2 Tm2 F8'
_symmetry_space_group_name_H-M 'P 1'
_symmetry_Int_Tables_number 1
_cell_length_a 5.9015
_cell_length_b 5.9015
_cell_length_c 7.1820
_cell_angle_alpha 90.00
_cell_angle_beta 90.00
_cell_angle_gamma 90.00
loop_
_symmetry_equiv_pos_as_xyz
'x,y,z'
loop_
_atom_site_label
_atom_site_type_symbol
_atom_site_fract_x
_atom_site_fract_y
_atom_site_fract_z
Cs1 Cs 0.0000 0.5000 0.0000
Cs2 Cs 0.5000 0.0000 0.0000
Tm1 Tm 0.0000 0.0000 0.5000
Tm2 Tm 0.5000 0.5000 0.5000
F1 F 0.0000 0.0000 0.2052
F2 F 0.0000 0.0000 0.7948
F3 F 0.1840 0.3160 0.5000
F4 F 0.3160 0.8160 0.5000
F5 F 0.5000 0.5000 0.2052
F6 F 0.5000 0.5000 0.7948
F7 F 0.6840 0.1840 0.5000
F8 F 0.8160 0.6840 0.5000
```

Entry 5:
The following is a simulated XRD peak list of CsUF6. It was derived from a PBE-relaxed structure, using Cu Ka.
Lines closer than 0.1° are merged.

Largest 8 diffraction maxima, sorted by position, 2θ from 5° to 70°:
two_theta	I_rel
19.21	14
20.26	100
24.05	23
28.62	27
28.95	24
31.91	10
40.15	10
45.02	10

Crystal structure
```
data_CsUF6
_chemical_formula_sum 'Cs2 U2 F12'
_symmetry_space_group_name_H-M 'P 1'
_symmetry_Int_Tables_number 1
_cell_length_a 6.4025
_cell_length_b 6.4025
_cell_length_c 11.3850
_cell_angle_alpha 98.88
_cell_angle_beta 98.88
_cell_angle_gamma 50.18
loop_
_symmetry_equiv_pos_as_xyz
'x,y,z'
loop_
_atom_site_label
_atom_site_type_symbol
_atom_site_fract_x
_atom_site_fract_y
_atom_site_fract_z
Cs1 Cs 0.1379 0.8621 0.7500
Cs2 Cs 0.8621 0.1379 0.2500
U1 U 0.0000 0.5000 0.0000
U2 U 0.5000 0.0000 0.5000
F1 F 0.0974 0.1859 0.5274
F2 F 0.1859 0.0974 0.0274
F3 F 0.2055 0.3722 0.8463
F4 F 0.3042 0.4885 0.1067
F5 F 0.3722 0.2055 0.3463
F6 F 0.4885 0.3042 0.6067
F7 F 0.5115 0.6958 0.3933
F8 F 0.6278 0.7945 0.6537
F9 F 0.6958 0.5115 0.8933
F10 F 0.7945 0.6278 0.1537
F11 F 0.8141 0.9026 0.9726
F12 F 0.9026 0.8141 0.4726
```

What did the second record say?
The following is a simulated XRD peak list of Cs2UTlF8. It was derived from a PBE-relaxed structure, using Cu Ka.
Lines closer than 0.1° are merged.

Largest 8 diffraction maxima, sorted by position, 2θ from 5° to 70°:
two_theta	I_rel
18.59	29
20.39	23
25.04	100
32.50	42
38.69	28
41.46	30
47.46	21
53.64	25

Crystal structure
```
data_Cs2UTlF8
_chemical_formula_sum 'Cs2 U1 Tl1 F8'
_symmetry_space_group_name_H-M 'P 1'
_symmetry_Int_Tables_number 1
_cell_length_a 5.5107
_cell_length_b 5.5107
_cell_length_c 10.6610
_cell_angle_alpha 90.00
_cell_angle_beta 90.00
_cell_angle_gamma 120.00
loop_
_symmetry_equiv_pos_as_xyz
'x,y,z'
loop_
_atom_site_label
_atom_site_type_symbol
_atom_site_fract_x
_atom_site_fract_y
_atom_site_fract_z
Cs1 Cs 0.3333 0.6667 0.2060
Cs2 Cs 0.6667 0.3333 0.7940
U1 U 0.0000 0.0000 0.5000
Tl1 Tl 0.0000 0.0000 0.0000
F1 F 0.1691 0.3382 0.6231
F2 F 0.1691 0.8309 0.6231
F3 F 0.3333 0.6667 0.9401
F4 F 0.3382 0.1691 0.3769
F5 F 0.6618 0.8309 0.6231
F6 F 0.6667 0.3333 0.0599
F7 F 0.8309 0.1691 0.3769
F8 F 0.8309 0.6618 0.3769
```

Please write out number 1 again, unchanged.
The following is a simulated XRD peak list of CsTlF4. It was derived from a PBE-relaxed structure, using Cu Ka.
Lines closer than 0.1° are merged.

Largest 8 diffraction maxima, sorted by position, 2θ from 5° to 70°:
two_theta	I_rel
24.46	100
24.60	84
26.68	36
29.23	50
39.97	45
41.63	17
45.82	41
48.95	28

Crystal structure
```
data_CsTlF4
_chemical_formula_sum 'Cs4 Tl4 F16'
_symmetry_space_group_name_H-M 'P 1'
_symmetry_Int_Tables_number 1
_cell_length_a 6.6834
_cell_length_b 8.6072
_cell_length_c 8.6786
_cell_angle_alpha 90.00
_cell_angle_beta 90.00
_cell_angle_gamma 90.00
loop_
_symmetry_equiv_pos_as_xyz
'x,y,z'
loop_
_atom_site_label
_atom_site_type_symbol
_atom_site_fract_x
_atom_site_fract_y
_atom_site_fract_z
Cs1 Cs 0.0118 0.1970 0.2500
Cs2 Cs 0.0118 0.3030 0.7500
Cs3 Cs 0.9882 0.6970 0.2500
Cs4 Cs 0.9882 0.8030 0.7500
Tl1 Tl 0.5000 0.0000 0.0000
Tl2 Tl 0.5000 0.0000 0.5000
Tl3 Tl 0.5000 0.5000 0.0000
Tl4 Tl 0.5000 0.5000 0.5000
F1 F 0.2071 0.5657 0.5566
F2 F 0.2071 0.5657 0.9434
F3 F 0.2071 0.9343 0.0566
F4 F 0.2071 0.9343 0.4434
F5 F 0.3829 0.2500 0.0000
F6 F 0.3829 0.2500 0.5000
F7 F 0.4022 0.5202 0.2500
F8 F 0.4022 0.9798 0.7500
F9 F 0.5978 0.0202 0.2500
F10 F 0.5978 0.4798 0.7500
F11 F 0.6171 0.7500 0.0000
F12 F 0.6171 0.7500 0.5000
F13 F 0.7929 0.0657 0.5566
F14 F 0.7929 0.0657 0.9434
F15 F 0.7929 0.4343 0.0566
F16 F 0.7929 0.4343 0.4434
```